For Al2Tl5Se6, a PBE-relaxed structure gives the calculated powder XRD pattern in this record (Cu Kα (weighted mean of Kα1 and Kα2)).
Lines closer than 0.1° are merged.

Structure:
Lattice parameters (Å, degrees): 7.718 7.718 16.554 102.06 102.06 62.68
Atoms (fractional coordinates):
Al  0.113  0.339  0.433
Al  0.339  0.113  0.933
Al  0.661  0.887  0.067
Al  0.887  0.661  0.567
Tl  0.012  0.666  0.255
Tl  0.248  0.734  0.001
Tl  0.266  0.752  0.499
Tl  0.323  0.677  0.750
Tl  0.334  0.988  0.245
Tl  0.666  0.012  0.755
Tl  0.677  0.323  0.250
Tl  0.734  0.248  0.501
Tl  0.752  0.266  0.999
Tl  0.988  0.334  0.745
Se  0.048  0.059  0.372
Se  0.059  0.048  0.872
Se  0.193  0.363  0.583
Se  0.347  0.359  0.867
Se  0.359  0.347  0.367
Se  0.363  0.193  0.083
Se  0.637  0.807  0.917
Se  0.641  0.653  0.633
Se  0.653  0.641  0.133
Se  0.807  0.637  0.417
Se  0.941  0.952  0.128
Se  0.952  0.941  0.628

Largest 8 diffraction maxima, by angle, 15 to 90 degrees two-theta:
Position (°2θ), d/Å, I_rel
22.15, 4.013, 45
22.84, 3.894, 53
25.45, 3.500, 61
25.83, 3.449, 62
28.80, 3.100, 38
31.52, 2.838, 100
32.55, 2.751, 37
39.78, 2.266, 38